[1]
Structure and calculated PXRD pattern of CsNaHfI6 (a structure optimized by DFT (PBE); CuKα).
Peak positions follow from Bragg's law for the DFT cell and can differ from measured ones.

Principal peaks in the range 2θ from 5° to 70°, sorted by position:
| d [Å] | I/Imax |
| --- | --- |
| 8.375 | 33 |
| 6.436 | 49 |
| 5.358 | 53 |
| 3.628 | 100 |
| 2.902 | 85 |
| 2.513 | 23 |
| 2.383 | 14 |
| 2.324 | 37 |
| 2.294 | 21 |
| 1.884 | 14 |
| 1.857 | 17 |
| 1.814 | 16 |

Cell and atoms:
```
data_CsNaHfI6
_space_group_name_H-M_alt 'P -3 1 c'
_space_group_IT_number 163
_space_group_name_Hall '-P 3 2c'
_cell_length_a 8.0493
_cell_length_b 8.0493
_cell_length_c 16.7506
_cell_angle_alpha 90.00
_cell_angle_beta 90.00
_cell_angle_gamma 120.00
loop_
_atom_site_label
_atom_site_type_symbol
_atom_site_fract_x
_atom_site_fract_y
_atom_site_fract_z
_atom_site_occupancy
Cs1 Cs 0.0000 0.0000 0.0000 1
Na1 Na 0.3333 0.6667 0.2500 1
Hf1 Hf 0.3333 0.6667 0.7500 1
I1 I 0.0348 0.3883 0.6502 1
```


[2]
Structure and calculated PXRD pattern of NdVZn (a structure optimized by DFT (PBE); CuKα).
Peak positions follow from Bragg's law for the DFT cell and can differ from measured ones.

Principal peaks in the range 2θ from 5° to 70°, sorted by position:
| d [Å] | I/Imax |
| --- | --- |
| 3.842 | 61 |
| 3.249 | 69 |
| 3.204 | 24 |
| 2.693 | 93 |
| 2.594 | 100 |
| 2.312 | 28 |
| 2.153 | 27 |
| 2.097 | 24 |
| 2.060 | 43 |
| 1.971 | 33 |
| 1.625 | 20 |
| 1.407 | 18 |

Cell and atoms:
```
data_NdVZn
_space_group_name_H-M_alt 'F m m m'
_space_group_IT_number 69
_space_group_name_Hall '-F 2 2'
_cell_length_a 4.8013
_cell_length_b 6.9042
_cell_length_c 17.2210
_cell_angle_alpha 90.00
_cell_angle_beta 90.00
_cell_angle_gamma 90.00
loop_
_atom_site_label
_atom_site_type_symbol
_atom_site_fract_x
_atom_site_fract_y
_atom_site_fract_z
_atom_site_occupancy
Nd1 Nd 0.0000 0.0000 0.1105 1
V1 V 0.0000 0.1419 0.5000 1
Zn1 Zn 0.2500 0.2500 0.2500 1
```